No. 1
For CrCdFe2, DFT lattice parameters and positions (PBE) gives the calculated powder diffraction line list in this record (Cu Kα, 1.54184 Å).
Kinematic intensities with the Lorentz-polarization factor, no thermal factor.

Structure:
```
data_CrCdFe2
_cell_length_a 3.011
_cell_length_b 3.025
_cell_length_c 6.140
_cell_angle_alpha 90.00
_cell_angle_beta 90.00
_cell_angle_gamma 90.00
_symmetry_space_group_name_H-M 'P m m 2'
_symmetry_Int_Tables_number 25
loop_
_symmetry_equiv_pos_as_xyz
'x,y,z'
'-x,-y,z'
'-x,y,z'
'x,-y,z'
loop_
_atom_site_label
_atom_site_type_symbol
_atom_site_fract_x
_atom_site_fract_y
_atom_site_fract_z
_atom_site_occupancy
Cr1 Cr 0.000 0.000 0.000 1
Cd1 Cd 0.500 0.500 0.310 1
Fe1 Fe 0.000 0.000 0.607 1
Fe2 Fe 0.500 0.500 0.812 1
```

The 10 most intense peaks (15 to 90 degrees two-theta), by intensity:
h k l  d/Å  2θ (°)  I_rel
1 1 0  2.134  42.35  100
0 1 2  2.155  41.93  86
1 0 2  2.150  42.03  86
1 2 2  1.237  77.10  25
2 1 2  1.234  77.31  25
0 1 1  2.713  33.01  21
1 0 1  2.704  33.14  21
1 1 3  1.477  62.92  16
0 2 0  1.512  61.29  15
1 1 4  1.246  76.43  15

No. 2
For CrCd2Ga, DFT lattice parameters and positions (PBE) gives the calculated powder diffraction line list in this record (Cu Kα, 1.54184 Å).
Kinematic intensities with the Lorentz-polarization factor, no thermal factor.

Structure:
```
data_CrCd2Ga
_cell_length_a 7.804
_cell_length_b 7.804
_cell_length_c 5.557
_cell_angle_alpha 90.00
_cell_angle_beta 90.00
_cell_angle_gamma 90.00
_symmetry_space_group_name_H-M 'I -4 2 d'
_symmetry_Int_Tables_number 122
_symmetry_space_group_name_Hall 'I -4 2bw'
loop_
_atom_site_label
_atom_site_type_symbol
_atom_site_fract_x
_atom_site_fract_y
_atom_site_fract_z
_atom_site_occupancy
Cr1 Cr 0.000 0.000 0.000 1
Cd1 Cd 0.242 0.750 0.625 1
Ga1 Ga 0.000 0.000 0.500 1
```

The 10 most intense peaks (15 to 90 degrees two-theta), by intensity:
h k l  d/Å  2θ (°)  I_rel
2 2 0  2.759  32.45  100
1 1 2  2.482  36.20  80
3 1 2  1.845  49.39  64
4 0 0  1.951  46.55  35
5 1 2  1.341  70.21  21
2 0 0  3.902  22.79  20
2 0 4  1.309  72.18  18
3 3 2  1.534  60.35  17
5 3 2  1.206  79.48  14
6 2 0  1.234  77.33  14